Starting from a GGA+U-relaxed structure, the powder X-ray diffraction pattern of V3Cu2SbP6O24 was calculated for Cu Kα, 1.54184 Å.
Lines closer than 0.1° are merged.

Structure:
a b c (Å): 8.6344 8.6344 21.2708
angles (deg): 90.00 90.00 120.00
Space group R3 (No. 146, hexagonal axes)
Inequivalent atoms, fractional coordinates:
1 V 0.0000 0.0000 0.0000 [3 per cell]
2 V 0.0000 0.0000 0.2148 [3 per cell]
3 V 0.0000 0.0000 0.7161 [3 per cell]
4 Cu 0.0000 0.0000 0.3525 [3 per cell]
5 Cu 0.0000 0.0000 0.8582 [3 per cell]
6 Sb 0.0000 0.0000 0.4999 [3 per cell]
7 P 0.0014 0.2940 0.6087 [9 per cell]
8 P 0.0452 0.6695 0.7745 [9 per cell]
9 O 0.0048 0.8084 0.0478 [9 per cell]
10 O 0.0089 0.2018 0.5459 [9 per cell]
11 O 0.0168 0.8328 0.7774 [9 per cell]
12 O 0.0217 0.1867 0.2762 [9 per cell]
13 O 0.1401 0.6685 0.8347 [9 per cell]
14 O 0.1450 0.4747 0.3332 [9 per cell]
15 O 0.1698 0.4813 0.6048 [9 per cell]
16 O 0.1718 0.6902 0.1038 [9 per cell]

Peak list (12 most intense, 5° ≤ 2θ ≤ 70°, by angle)
2theta	I (rel.)	(hkl)
12.53	13	0 0 3
20.56	100	1 1 0
24.13	77	2 -1 3
25.25	14	2 0 2
31.94	14	3 -1 1
32.69	63	1 1 6
36.03	37	3 0 0
46.92	29	3 -2 8
49.44	25	2 2 6
56.27	17	4 -1 8
56.39	22	1 4 0
62.68	17	4 1 6